# LiVTeO5
Theoretical X-ray diffraction stick pattern, Cu Kα. Input: a cell relaxed with PBE+U.

Principal peaks in the range 10 to 90 degrees two-theta, by intensity:
- 4.518 Å, I 100, (1 1 1)
- 4.936 Å, I 77, (1 1 0)
- 2.982 Å, I 64, (1 1 3)
- 3.976 Å, I 54, (0 2 0)
- 2.884 Å, I 34, (1 2 2)
- 3.031 Å, I 29, (2 0 1)
- 2.028 Å, I 29, (3 1 0)
- 2.807 Å, I 25, (0 0 4)
- 2.409 Å, I 23, (2 0 3)
- 4.586 Å, I 22, (0 1 2)

Crystal structure
```
LiVTeO5
1.0
6.295 0.000 0.000
0.000 7.952 0.000
0.000 0.000 11.228
Li V Te O
4 4 4 20
direct
0.092 0.106 0.026
0.408 0.894 0.526
0.592 0.394 0.974
0.908 0.606 0.474
0.052 0.460 0.157
0.448 0.540 0.657
0.552 0.040 0.843
0.948 0.960 0.343
0.108 0.459 0.849
0.392 0.541 0.349
0.608 0.041 0.151
0.892 0.959 0.651
0.076 0.665 0.946
0.080 0.513 0.319
0.146 0.645 0.072
0.198 0.927 0.390
0.206 0.293 0.120
0.294 0.707 0.620
0.302 0.073 0.890
0.354 0.355 0.572
0.420 0.487 0.819
0.424 0.335 0.446
0.576 0.835 0.054
0.580 0.987 0.681
0.646 0.855 0.928
0.698 0.573 0.610
0.706 0.207 0.880
0.794 0.793 0.380
0.802 0.427 0.110
0.854 0.145 0.428
0.920 0.013 0.181
0.924 0.165 0.554
```